[1]
This entry pairs a crystal structure of CdPb6 with its theoretical powder X-ray diffraction pattern. Radiation: CuKα. Structure: a cell relaxed with GGA-PBE.
No peak broadening, texture or thermal motion is included.

Top 10 peaks for 2θ = 15–90°, by intensity:
2θ 31.7, intensity 100, hkl 1 1 0
2θ 32.6, intensity 91, hkl 1 0 7
2θ 57.0, intensity 38, hkl 2 1 7
2θ 46.1, intensity 35, hkl 0 2 7
2θ 56.4, intensity 20, hkl 3 0 0
2θ 75.7, intensity 17, hkl 1 3 7
2θ 58.8, intensity 16, hkl 0 1 14
2θ 77.3, intensity 15, hkl 1 2 14
2θ 66.2, intensity 13, hkl 2 2 0
2θ 68.3, intensity 10, hkl 2 0 14

Cell and atoms:
Unit cell a=5.6492 b=5.6492 c=23.2295 alpha=90.00 beta=90.00 gamma=120.00
Space group R-3m (No. 166, hexagonal axes)
Unique sites:
Cd 0.0000 0.0000 0.0000 [3 per cell]
Pb 0.0000 0.0000 0.1375 [6 per cell]
Pb 0.0000 0.0000 0.2828 [6 per cell]
Pb 0.0000 0.0000 0.4274 [6 per cell]

---

[2]
This entry pairs a crystal structure of CdPb with its theoretical powder X-ray diffraction pattern. Radiation: CuKα. Structure: a cell relaxed with GGA-PBE.
No peak broadening, texture or thermal motion is included.

Top 10 peaks for 2θ = 15–90°, by intensity:
2θ 33.8, intensity 100, hkl 1 1 1
2θ 36.9, intensity 78, hkl 2 0 1
2θ 38.5, intensity 68, hkl 2 1 0
2θ 58.6, intensity 52, hkl 3 1 1
2θ 26.7, intensity 48, hkl 1 0 1
2θ 24.9, intensity 43, hkl 1 1 0
2θ 61.3, intensity 34, hkl 2 1 2
2θ 28.8, intensity 27, hkl 2 0 0
2θ 53.3, intensity 21, hkl 3 1 0
2θ 45.9, intensity 20, hkl 0 0 2

Cell and atoms:
Unit cell a=7.1521 b=7.1521 c=3.9578 alpha=90.00 beta=90.00 gamma=120.00
Space group P-62m (No. 189)
Unique sites:
Cd 0.0000 0.7605 0.0000 [3 per cell]
Pb 0.0000 0.4276 0.5000 [3 per cell]

---

[3]
This entry pairs a crystal structure of CdPb7 with its theoretical powder X-ray diffraction pattern. Radiation: CuKα. Structure: a cell relaxed with GGA-PBE.
No peak broadening, texture or thermal motion is included.

Top 10 peaks for 2θ = 15–90°, by intensity:
2θ 31.2, intensity 100, hkl 2 2 2
2θ 36.1, intensity 51, hkl 4 0 0
2θ 61.9, intensity 44, hkl 6 2 2
2θ 52.0, intensity 37, hkl 4 4 0
2θ 85.1, intensity 19, hkl 6 6 2
2θ 87.8, intensity 18, hkl 8 4 0
2θ 65.0, intensity 13, hkl 4 4 4
2θ 76.7, intensity 6, hkl 8 0 0
2θ 15.4, intensity 2, hkl 1 1 1
2θ 29.8, intensity 1, hkl 3 1 1

Cell and atoms:
Unit cell a=9.943 b=9.943 c=9.943 alpha=90.00 beta=90.00 gamma=90.00
Space group Fm-3m (No. 225)
Unique sites:
Cd 0.000 0.000 0.000 [4 per cell]
Pb 0.000 0.000 0.500 [4 per cell]
Pb 0.000 0.250 0.250 [24 per cell]

---

[4]
This entry pairs a crystal structure of Cd3Pb4 with its theoretical powder X-ray diffraction pattern. Radiation: CuKα. Structure: a cell relaxed with GGA-PBE.
No peak broadening, texture or thermal motion is included.

Top 10 peaks for 2θ = 15–90°, by intensity:
2θ 34.4, intensity 100, hkl 3 1 -1
2θ 30.6, intensity 99, hkl 1 1 2
2θ 31.2, intensity 46, hkl 2 0 -3
2θ 35.6, intensity 46, hkl 0 2 0
2θ 34.0, intensity 33, hkl 1 1 -3
2θ 48.1, intensity 28, hkl 2 2 -3
2θ 60.8, intensity 24, hkl 6 0 -2
2θ 63.2, intensity 19, hkl 3 3 -1
2θ 32.4, intensity 17, hkl 2 0 2
2θ 45.3, intensity 17, hkl 4 0 1

Cell and atoms:
Unit cell a=9.148 b=5.042 c=9.299 alpha=90.00 beta=106.41 gamma=90.00
Space group C2/m (No. 12)
Unique sites:
Cd 0.000 0.000 0.000 [2 per cell]
Cd 0.167 0.000 0.508 [4 per cell]
Pb 0.060 0.500 0.694 [4 per cell]
Pb 0.211 0.500 0.122 [4 per cell]